Starting from DFT lattice parameters and positions (PBE), the powder diffractogram of CsAgTeOsSe2 was calculated for Cu Kα (λ = 1.5418 Å).
Kinematic intensities with the Lorentz-polarization factor, no thermal factor.

Structural model:
```
data_CsAgTeOsSe2
_chemical_formula_sum 'Cs4 Ag4 Te4 Os4 Se8'
_cell_length_a 3.902
_cell_length_b 16.997
_cell_length_c 10.370
_cell_angle_alpha 90.00
_cell_angle_beta 90.00
_cell_angle_gamma 90.00
_space_group_name_H-M_alt 'C m c m'
_space_group_IT_number 63
_space_group_name_Hall '-C 2c 2'
loop_
_atom_site_label
_atom_site_fract_x
_atom_site_fract_y
_atom_site_fract_z
_atom_site_occupancy
Cs1 0.000 0.234 0.250 1
Ag1 0.000 0.449 0.750 1
Te1 0.000 0.068 0.750 1
Os1 0.000 0.000 0.000 1
Se1 0.000 0.403 0.519 1
```

Main lines, in order of falling intensity (2θ = 5–70°):
| 2theta | intensity |
| --- | --- |
| 10.41 | 100.0 |
| 29.09 | 58.6 |
| 34.60 | 35.3 |
| 32.79 | 30.8 |
| 39.21 | 24.3 |
| 20.06 | 21.6 |
| 47.47 | 20.2 |
| 35.01 | 18.2 |
| 38.24 | 17.6 |
| 46.55 | 15.9 |

Starting from DFT lattice parameters and positions (PBE), the powder diffractogram of CsPaAgS3 was calculated for Cu Kα (λ = 1.5418 Å).
Kinematic intensities with the Lorentz-polarization factor, no thermal factor.

Structural model:
```
data_CsPaAgS3
_chemical_formula_sum 'Cs4 Pa4 Ag4 S12'
_cell_length_a 4.156
_cell_length_b 15.493
_cell_length_c 10.587
_cell_angle_alpha 90.00
_cell_angle_beta 90.00
_cell_angle_gamma 90.00
_space_group_name_H-M_alt 'C m c m'
_space_group_IT_number 63
_space_group_name_Hall '-C 2c 2'
loop_
_atom_site_label
_atom_site_fract_x
_atom_site_fract_y
_atom_site_fract_z
_atom_site_occupancy
Cs1 0.000 0.240 0.250 1
Pa1 0.000 0.500 0.000 1
Ag1 0.000 0.045 0.750 1
S1 0.000 0.115 0.537 1
S2 0.000 0.446 0.750 1
```

Main lines, in order of falling intensity (2θ = 5–70°):
| 2theta | intensity |
| --- | --- |
| 11.42 | 100.0 |
| 27.90 | 68.9 |
| 20.32 | 61.0 |
| 28.84 | 60.1 |
| 32.42 | 58.2 |
| 33.86 | 52.2 |
| 22.96 | 46.1 |
| 40.10 | 43.5 |
| 27.55 | 27.1 |
| 38.80 | 26.2 |

Starting from DFT lattice parameters and positions (PBE), the powder diffractogram of Cs2Ag2Te4Pd was calculated for Cu Kα (λ = 1.5418 Å).
Kinematic intensities with the Lorentz-polarization factor, no thermal factor.

Structural model:
```
data_Cs2Ag2Te4Pd
_chemical_formula_sum 'Cs4 Ag4 Te8 Pd2'
_cell_length_a 6.969
_cell_length_b 12.832
_cell_length_c 6.915
_cell_angle_alpha 90.00
_cell_angle_beta 90.00
_cell_angle_gamma 90.00
_space_group_name_H-M_alt 'C 2 2 2'
_space_group_IT_number 21
_space_group_name_Hall 'C 2 2'
loop_
_atom_site_label
_atom_site_fract_x
_atom_site_fract_y
_atom_site_fract_z
_atom_site_occupancy
Cs1 0.250 0.250 0.242 1
Ag1 0.000 0.000 0.000 1
Ag2 0.000 0.500 0.500 1
Te1 0.232 0.109 0.733 1
Pd1 0.000 0.000 0.500 1
```

Main lines, in order of falling intensity (2θ = 5–70°):
| 2theta | intensity |
| --- | --- |
| 27.66 | 100.0 |
| 36.61 | 54.0 |
| 46.62 | 23.2 |
| 46.38 | 22.4 |
| 29.16 | 21.6 |
| 29.34 | 21.1 |
| 50.04 | 14.6 |
| 50.16 | 14.4 |
| 39.63 | 12.7 |
| 38.13 | 11.4 |